Ho4ThRu2: theoretical powder X-ray diffraction pattern (Cu Kα (weighted mean of Kα1 and Kα2)), based on DFT lattice parameters and positions (PBE).
Lines closer than 0.1° are merged.

The 12 most intense peaks (2θ = 5–70°), sorted by position:
28.16 deg, intensity 23.9
30.79 deg, intensity 100.0
31.38 deg, intensity 43.2
31.56 deg, intensity 24.7
31.74 deg, intensity 34.3
34.14 deg, intensity 50.8
34.63 deg, intensity 51.4
36.49 deg, intensity 34.6
37.85 deg, intensity 45.2
47.58 deg, intensity 21.7
52.85 deg, intensity 23.0
58.23 deg, intensity 30.7

Structure:
Lattice parameters (Å, degrees): 7.7927 6.3381 7.8890 90.00 112.73 90.00
Positions (direct):
Ho1 0.1085 0.2500 0.4813
Ho2 0.1652 0.7500 0.2487
Ho3 0.2606 0.5020 0.9140
Ho4 0.2606 0.9980 0.9140
Ho5 0.7394 0.0020 0.0860
Ho6 0.7394 0.4980 0.0860
Ho7 0.8348 0.2500 0.7513
Ho8 0.8915 0.7500 0.5187
Th1 0.4647 0.2500 0.3412
Th2 0.5353 0.7500 0.6588
Ru1 0.0933 0.2500 0.1301
Ru2 0.4795 0.2500 0.7329
Ru3 0.5205 0.7500 0.2671
Ru4 0.9067 0.7500 0.8699

---

Ho8TlRu2: theoretical powder X-ray diffraction pattern (Cu Kα (weighted mean of Kα1 and Kα2)), based on DFT lattice parameters and positions (PBE).
Lines closer than 0.1° are merged.

The 12 most intense peaks (2θ = 5–70°), sorted by position:
28.18 deg, intensity 17.6
30.99 deg, intensity 100.0
31.50 deg, intensity 67.5
32.88 deg, intensity 44.3
33.78 deg, intensity 19.0
34.06 deg, intensity 79.5
35.40 deg, intensity 93.4
40.25 deg, intensity 18.4
42.87 deg, intensity 28.2
48.74 deg, intensity 13.6
61.49 deg, intensity 21.9
61.84 deg, intensity 18.6

Structure:
Lattice parameters (Å, degrees): 9.0657 9.0657 9.0657 146.25 57.21 135.25
Positions (direct):
Ho1 0.0000 0.0000 0.0000
Ho2 0.2669 0.5980 0.6689
Ho3 0.3566 0.4665 0.8901
Ho4 0.4256 0.1382 0.2875
Ho5 0.5764 0.4665 0.1099
Ho6 0.7287 0.2287 0.5000
Ho7 0.8507 0.1382 0.7125
Ho8 0.9291 0.5980 0.3311
Tl1 0.2970 0.7970 0.5000
Ru1 0.0026 0.8307 0.1719
Ru2 0.6588 0.8307 0.8281